[1]
ThGa2SiTc2: calculated powder diffraction line list (a wavelength of 1.5418 Å), based on a GGA-PBE-relaxed structure.
Intensities are scaled so that the largest is 100.

Most intense lines, 15° ≤ 2θ ≤ 90°, in order of falling intensity:
- hkl 1 1 1, 2θ = 32.29°, I = 100
- hkl 1 0 2, 2θ = 37.54°, I = 62
- hkl 2 0 0, 2θ = 40.11°, I = 59
- hkl 2 1 2, 2θ = 56.10°, I = 39
- hkl 1 0 1, 2θ = 25.29°, I = 35
- hkl 3 1 1, 2θ = 67.98°, I = 23
- hkl 2 2 0, 2θ = 58.02°, I = 20
- hkl 1 1 0, 2θ = 28.07°, I = 16
- hkl 1 1 3, 2θ = 56.72°, I = 15
- hkl 2 0 4, 2θ = 80.11°, I = 15

Cell: 4.4960 4.4960 5.6626 Å, 90.00 90.00 90.00°
Space group P4/mmm (No. 123)
One atom of each set of equivalent atoms:
Th  0.0000  0.0000  0.0000 x1
Ga  0.5000  0.5000  0.2348 x2
Si  0.0000  0.0000  0.5000 x1
Tc  0.0000  0.5000  0.5000 x2

=====

[2]
Dy3IrPd: calculated powder diffraction line list (a wavelength of 1.5418 Å), based on a GGA-PBE-relaxed structure.
Intensities are scaled so that the largest is 100.

Most intense lines, 15° ≤ 2θ ≤ 90°, in order of falling intensity:
- hkl 2 2 0, 2θ = 36.40°, I = 100
- hkl 0 1 3, 2θ = 31.52°, I = 49
- hkl 2 1 1, 2θ = 32.89°, I = 46
- hkl 2 1 -3, 2θ = 32.69°, I = 46
- hkl 0 1 4, 2θ = 40.77°, I = 34
- hkl 4 0 -2, 2θ = 47.03°, I = 29
- hkl 0 0 2, 2θ = 18.96°, I = 18
- hkl 0 3 3, 2θ = 49.56°, I = 17
- hkl 2 0 4, 2θ = 54.62°, I = 16
- hkl 0 3 2, 2θ = 44.24°, I = 15

Cell: 7.7296 6.8308 10.1529 Å, 90.00 112.79 90.00°
Space group P2_1/c (No. 14)
One atom of each set of equivalent atoms:
Dy  0.1503  0.0600  0.3203 x4
Dy  0.2394  0.0021  0.0090 x4
Dy  0.3296  0.5427  0.1815 x4
Ir  0.0236  0.2046  0.5577 x4
Pd  0.4704  0.7028  0.9518 x4

=====

[3]
ScTlCd2Cl8: calculated powder diffraction line list (a wavelength of 1.5418 Å), based on a GGA-PBE-relaxed structure.
Intensities are scaled so that the largest is 100.

Most intense lines, 15° ≤ 2θ ≤ 90°, in order of falling intensity:
- hkl 1 1 0, 2θ = 18.39°, I = 100
- hkl 1 0 2, 2θ = 23.15°, I = 88
- hkl 1 -1 0, 2θ = 21.63°, I = 86
- hkl 2 0 1, 2θ = 28.89°, I = 69
- hkl 1 2 3, 2θ = 38.42°, I = 49
- hkl 1 1 1, 2θ = 18.92°, I = 35
- hkl 1 0 -2, 2θ = 26.70°, I = 35
- hkl 1 -1 2, 2θ = 29.83°, I = 33
- hkl 0 1 -2, 2θ = 26.57°, I = 30
- hkl 0 0 4, 2θ = 41.57°, I = 30

Cell: 6.4272 6.4427 8.9192 Å, 80.21 79.81 79.35°
Space group P-1 (No. 2)
One atom of each set of equivalent atoms:
Sc  0.0000  0.0000  0.0000 x1
Tl  0.0000  0.0000  0.5000 x1
Cd  0.4383  0.4435  0.7279 x2
Cl  0.1877  0.7617  0.2064 x2
Cl  0.2475  0.2633  0.9811 x2
Cl  0.2504  0.8239  0.7903 x2
Cl  0.3190  0.3349  0.5009 x2